The following is a calculated XRD peak list of MoIrOs4. It was derived from a crystal structure in Alexandria, relaxed with PBE, using Cu Kα.

Crystal structure
a = 9.552 Å, b = 5.542 Å, c = 6.789 Å
α = 90.00°, β = 103.54°, γ = 90.00°
Space group C2/m (No. 12)
Asymmetric unit:
Mo  0.138  0.000  0.338 (multiplicity 4)
Ir  0.139  0.500  0.339 (multiplicity 4)
Os  0.000  0.258  0.000 (multiplicity 4)
Os  0.110  0.250  0.665 (multiplicity 8)
Os  0.248  0.500  0.006 (multiplicity 4)

Largest 6 diffraction maxima, in order of rising 2θ, 10 to 90 degrees two-theta:
index	2θ (°)	I_rel
2 2 0	37.81	43
0 0 3	41.02	75
2 2 1	41.88	100
4 0 -2	42.01	49
2 2 -2	44.17	91
4 0 1	44.29	46


The following is a calculated XRD peak list of MoIrOs. It was derived from a crystal structure in Alexandria, relaxed with PBE, using Cu Kα.

Crystal structure
a = 2.7485 Å, b = 2.7485 Å, c = 6.8146 Å
α = 90.00°, β = 90.00°, γ = 120.00°
Space group P3m1 (No. 156)
Asymmetric unit:
Mo  0.0000  0.0000  0.0000 (multiplicity 1)
Ir  0.6667  0.3333  0.6656 (multiplicity 1)
Os  0.3333  0.6667  0.3280 (multiplicity 1)

Largest 6 diffraction maxima, in order of rising 2θ, 10 to 90 degrees two-theta:
index	2θ (°)	I_rel
0 0 3	39.68	33
0 1 1	40.13	100
1 0 2	46.54	65
0 1 4	67.62	22
1 1 0	68.25	20
1 1 3	81.94	25


The following is a calculated XRD peak list of Mo2IrOs. It was derived from a crystal structure in Alexandria, relaxed with PBE, using Cu Kα.

Crystal structure
a = 2.775 Å, b = 3.902 Å, c = 5.570 Å
α = 90.00°, β = 90.00°, γ = 90.00°
Space group Pmmm (No. 47)
Asymmetric unit:
Mo  0.000  0.000  0.247 (multiplicity 2)
Ir  0.500  0.500  0.500 (multiplicity 1)
Os  0.500  0.500  0.000 (multiplicity 1)

Largest 6 diffraction maxima, in order of rising 2θ, 10 to 90 degrees two-theta:
index	2θ (°)	I_rel
1 1 0	39.81	100
1 0 2	46.18	33
0 2 0	46.55	16
1 2 2	67.66	21
1 1 4	81.11	13
2 1 2	81.30	13


The following is a calculated XRD peak list of MoIrOs. It was derived from a crystal structure in Alexandria, relaxed with PBE, using Cu Kα.

Crystal structure
a = 5.543 Å, b = 3.874 Å, c = 8.293 Å
α = 90.00°, β = 90.00°, γ = 90.00°
Space group Pnma (No. 62)
Asymmetric unit:
Mo  0.135  0.250  0.090 (multiplicity 4)
Ir  0.128  0.250  0.417 (multiplicity 4)
Os  0.126  0.250  0.750 (multiplicity 4)

Largest 6 diffraction maxima, in order of rising 2θ, 10 to 90 degrees two-theta:
index	2θ (°)	I_rel
2 1 0	40.04	100
2 0 3	46.40	33
0 2 0	46.90	16
2 2 3	68.11	21
4 1 3	81.59	13
2 1 6	81.73	13


The following is a calculated XRD peak list of Mo2IrOs. It was derived from a crystal structure in Alexandria, relaxed with PBE, using Cu Kα.

Crystal structure
a = 2.788 Å, b = 4.468 Å, c = 4.831 Å
α = 90.00°, β = 90.00°, γ = 90.00°
Space group Pmm2 (No. 25)
Asymmetric unit:
Mo  0.000  0.000  0.000 (multiplicity 1)
Mo  0.000  0.500  0.345 (multiplicity 1)
Ir  0.500  0.000  0.498 (multiplicity 1)
Os  0.500  0.500  0.849 (multiplicity 1)

Largest 6 diffraction maxima, in order of rising 2θ, 10 to 90 degrees two-theta:
index	2θ (°)	I_rel
0 0 2	37.23	25
0 2 0	40.37	26
1 1 1	42.55	100
2 0 0	67.13	17
1 3 1	74.91	19
2 2 0	81.35	20


The following is a calculated XRD peak list of MoPIr2. It was derived from a crystal structure in Alexandria, relaxed with PBE, using Cu Kα.

Crystal structure
a = 2.834 Å, b = 4.089 Å, c = 5.151 Å
α = 90.00°, β = 105.59°, γ = 90.00°
Space group P2/m (No. 10)
Asymmetric unit:
Mo  0.000  0.000  0.000 (multiplicity 1)
P  0.000  0.000  0.500 (multiplicity 1)
Ir  0.360  0.500  0.738 (multiplicity 2)

Largest 6 diffraction maxima, in order of rising 2θ, 10 to 90 degrees two-theta:
index	2θ (°)	I_rel
0 1 0	21.74	55
1 1 0	39.75	100
1 0 1	41.84	24
1 0 -2	42.12	28
0 1 2	42.63	82
0 2 0	44.31	37


The following is a calculated XRD peak list of ThMoP2Ir2. It was derived from a crystal structure in Alexandria, relaxed with PBE, using Cu Kα.

Crystal structure
a = 4.1896 Å, b = 4.1896 Å, c = 6.7522 Å
α = 90.00°, β = 90.00°, γ = 120.00°
Space group P-3m1 (No. 164)
Asymmetric unit:
Th  0.0000  0.0000  0.0000 (multiplicity 1)
Mo  0.0000  0.0000  0.5000 (multiplicity 1)
P  0.3333  0.6667  0.3211 (multiplicity 2)
Ir  0.3333  0.6667  0.7069 (multiplicity 2)

Largest 6 diffraction maxima, in order of rising 2θ, 10 to 90 degrees two-theta:
index	2θ (°)	I_rel
1 0 1	27.92	78
0 1 2	36.35	100
1 1 0	43.19	67
2 0 2	57.69	27
1 1 3	60.36	18
1 2 2	74.71	25


The following is a calculated XRD peak list of Mo2IrPt. It was derived from a crystal structure in Alexandria, relaxed with PBE, using Cu Kα.

Crystal structure
a = 9.216 Å, b = 2.761 Å, c = 4.902 Å
α = 90.00°, β = 99.65°, γ = 90.00°
Space group Cm (No. 8)
Asymmetric unit:
Mo  0.000  0.000  0.000 (multiplicity 2)
Mo  0.248  0.000  0.711 (multiplicity 2)
Ir  0.004  0.500  0.505 (multiplicity 2)
Pt  0.249  0.500  0.220 (multiplicity 2)

Largest 6 diffraction maxima, in order of rising 2θ, 10 to 90 degrees two-theta:
index	2θ (°)	I_rel
2 0 -2	39.19	33
4 0 0	39.68	100
2 0 2	45.37	22
3 1 -1	46.30	43
6 0 -2	67.20	21
7 1 -1	81.30	17


The following is a calculated XRD peak list of Sb2MoIrPt. It was derived from a crystal structure in Alexandria, relaxed with PBE, using Cu Kα.

Crystal structure
a = 5.049 Å, b = 5.049 Å, c = 4.969 Å
α = 90.00°, β = 90.00°, γ = 90.00°
Space group P4/mmm (No. 123)
Asymmetric unit:
Sb  0.000  0.500  0.000 (multiplicity 2)
Mo  0.000  0.000  0.500 (multiplicity 1)
Ir  0.500  0.500  0.500 (multiplicity 1)
Pt  0.000  0.000  0.000 (multiplicity 1)

Largest 6 diffraction maxima, in order of rising 2θ, 10 to 90 degrees two-theta:
index	2θ (°)	I_rel
1 0 1	25.15	74
1 1 1	30.84	65
2 0 0	35.56	100
0 0 2	36.16	48
2 0 2	51.62	69
2 2 2	64.25	36


The following is a calculated XRD peak list of RbMo2Ir. It was derived from a crystal structure in Alexandria, relaxed with PBE, using Cu Kα.

Crystal structure
a = 6.539 Å, b = 6.539 Å, c = 6.539 Å
α = 90.00°, β = 90.00°, γ = 90.00°
Space group Fm-3m (No. 225)
Asymmetric unit:
Rb  0.000  0.000  0.000 (multiplicity 4)
Mo  0.250  0.250  0.250 (multiplicity 8)
Ir  0.000  0.000  0.500 (multiplicity 4)

Largest 6 diffraction maxima, in order of rising 2θ, 10 to 90 degrees two-theta:
index	2θ (°)	I_rel
1 1 1	23.57	11
2 2 0	38.96	100
3 1 1	46.04	6
4 0 0	56.28	17
4 2 2	70.56	34
4 4 0	83.67	11


The following is a calculated XRD peak list of Re2MoIr2. It was derived from a crystal structure in Alexandria, relaxed with PBE, using Cu Kα.

Crystal structure
a = 8.724 Å, b = 3.923 Å, c = 8.725 Å
α = 90.00°, β = 90.25°, γ = 90.00°
Space group C2/m (No. 12)
Asymmetric unit:
Re  0.050  0.000  0.355 (multiplicity 4)
Re  0.151  0.500  0.549 (multiplicity 4)
Mo  0.147  0.000  0.057 (multiplicity 4)
Ir  0.050  0.500  0.851 (multiplicity 4)
Ir  0.249  0.500  0.252 (multiplicity 4)

Largest 6 diffraction maxima, in order of rising 2θ, 10 to 90 degrees two-theta:
index	2θ (°)	I_rel
3 1 1	39.95	100
0 2 0	46.28	16
4 0 -2	46.47	16
2 0 4	46.64	16
2 2 4	67.82	16
3 3 1	81.44	13


The following is a calculated XRD peak list of MoIr5Rh2. It was derived from a crystal structure in Alexandria, relaxed with PBE, using Cu Kα.

Crystal structure
a = 6.662 Å, b = 6.662 Å, c = 11.008 Å
α = 90.00°, β = 90.00°, γ = 90.00°
Space group I4/mcm (No. 140)
Asymmetric unit:
Mo  0.000  0.000  0.250 (multiplicity 4)
Ir  0.000  0.000  0.000 (multiplicity 4)
Ir  0.145  0.355  0.170 (multiplicity 16)
Rh  0.140  0.360  0.500 (multiplicity 8)

Largest 6 diffraction maxima, in order of rising 2θ, 10 to 90 degrees two-theta:
index	2θ (°)	I_rel
2 1 3	38.94	100
3 1 0	42.93	48
0 0 6	49.69	13
3 1 6	67.72	15
5 2 3	82.24	18
2 1 9	85.90	10


The following is a calculated XRD peak list of Mo3Ir2Rh6. It was derived from a crystal structure in Alexandria, relaxed with PBE, using Cu Kα.

Crystal structure
a = 4.747 Å, b = 6.440 Å, c = 6.552 Å
α = 105.25°, β = 107.80°, γ = 108.40°
Space group P1 (No. 1)
Asymmetric unit:
Mo  0.000  0.000  0.000 (multiplicity 1)
Mo  0.042  0.619  0.707 (multiplicity 1)
Mo  0.521  0.692  0.494 (multiplicity 1)
Ir  0.105  0.447  0.030 (multiplicity 1)
Ir  0.492  0.891  0.146 (multiplicity 1)
Rh  0.008  0.784  0.335 (multiplicity 1)
Rh  0.417  0.243  0.451 (multiplicity 1)
Rh  0.474  0.060  0.793 (multiplicity 1)
Rh  0.579  0.547  0.881 (multiplicity 1)
Rh  0.872  0.335  0.295 (multiplicity 1)
Rh  0.941  0.141  0.617 (multiplicity 1)

Largest 6 diffraction maxima, in order of rising 2θ, 10 to 90 degrees two-theta:
index	2θ (°)	I_rel
-2 1 1	38.12	33
1 -1 2	40.28	42
0 2 1	41.12	100
1 2 -2	41.68	69
-2 2 1	42.83	32
1 0 -3	42.98	97


The following is a calculated XRD peak list of Mo4Ir2Rh3. It was derived from a crystal structure in Alexandria, relaxed with PBE, using Cu Kα.

Crystal structure
a = 8.738 Å, b = 3.904 Å, c = 8.284 Å
α = 90.00°, β = 108.47°, γ = 90.00°
Space group C2/m (No. 12)
Asymmetric unit:
Mo  0.005  0.000  0.333 (multiplicity 4)
Mo  0.168  0.500  0.892 (multiplicity 4)
Ir  0.167  0.500  0.220 (multiplicity 4)
Rh  0.000  0.000  0.000 (multiplicity 2)
Rh  0.167  0.500  0.558 (multiplicity 4)

Largest 6 diffraction maxima, in order of rising 2θ, 10 to 90 degrees two-theta:
index	2θ (°)	I_rel
1 1 -1	26.23	3
3 1 0	39.98	100
0 2 0	46.50	48
2 2 3	67.88	31
3 3 0	81.79	37
6 2 0	86.28	11


The following is a calculated XRD peak list of MoIr3Rh4. It was derived from a crystal structure in Alexandria, relaxed with PBE, using Cu Kα.

Crystal structure
a = 2.710 Å, b = 8.548 Å, c = 10.452 Å
α = 90.00°, β = 90.00°, γ = 90.00°
Space group Immm (No. 71)
Asymmetric unit:
Mo  0.000  0.000  0.000 (multiplicity 2)
Ir  0.000  0.000  0.500 (multiplicity 2)
Ir  0.000  0.500  0.288 (multiplicity 4)
Rh  0.000  0.265  0.127 (multiplicity 8)

Largest 6 diffraction maxima, in order of rising 2θ, 10 to 90 degrees two-theta:
index	2θ (°)	I_rel
1 1 2	38.89	100
1 2 1	40.34	51
0 2 4	40.46	98
0 4 0	42.29	59
1 2 3	47.53	30
1 3 2	49.59	51